For Tb2Ce3PaN6, a cell relaxed with PBE gives the theoretical X-ray powder pattern in this record (CuKα).

Lattice parameters (Å, degrees): 6.1005 6.1005 6.1539 99.49 99.49 119.99
Positions (direct):
Tb: 0.1665 0.8335 0.0000
Tb: 0.8335 0.1665 0.0000
Ce: 0.0000 0.0000 0.5000
Ce: 0.3316 0.6684 0.5000
Ce: 0.6684 0.3316 0.5000
Pa: 0.5000 0.5000 0.0000
N: 0.1019 0.4208 0.7625
N: 0.2610 0.2610 0.2387
N: 0.4208 0.1019 0.7625
N: 0.5792 0.8981 0.2375
N: 0.7390 0.7390 0.7613
N: 0.8981 0.5792 0.2375

Top 6 peaks for 5° ≤ 2θ ≤ 70°, by angle:
2θ 30.78, I = 34; 2θ 31.06, I = 100; 2θ 35.94, I = 96; 2θ 51.55, I = 34; 2θ 51.92, I = 33; 2θ 61.58, I = 30

***

For CeU3Pa2N6, a cell relaxed with PBE gives the theoretical X-ray powder pattern in this record (CuKα).

Lattice parameters (Å, degrees): 7.7913 7.7913 6.9666 103.21 103.21 25.79
Positions (direct):
Ce: 0.0000 0.0000 0.0000
U: 0.0000 0.0000 0.5000
U: 0.3347 0.3347 0.1666
U: 0.6653 0.6653 0.8334
Pa: 0.3329 0.3329 0.6670
Pa: 0.6671 0.6671 0.3330
N: 0.1646 0.1646 0.5858
N: 0.1716 0.1716 0.0828
N: 0.5001 0.5001 0.2662
N: 0.4999 0.4999 0.7338
N: 0.8284 0.8284 0.9172
N: 0.8354 0.8354 0.4142

Top 6 peaks for 5° ≤ 2θ ≤ 70°, by angle:
2θ 31.38, I = 34; 2θ 31.52, I = 100; 2θ 36.51, I = 88; 2θ 52.51, I = 31; 2θ 52.68, I = 31; 2θ 62.63, I = 41

***

For Ce2PbN2, a cell relaxed with PBE gives the theoretical X-ray powder pattern in this record (CuKα).

Lattice parameters (Å, degrees): 4.0187 3.9998 14.7560 90.00 90.00 90.00
Positions (direct):
Ce: 0.0000 0.0000 0.0000
Ce: 0.0000 0.5000 0.5000
Ce: 0.5000 0.0000 0.3527
Ce: 0.5000 0.5000 0.8527
Pb: 0.5000 0.0000 0.6582
Pb: 0.5000 0.5000 0.1582
N: 0.0000 0.0000 0.4222
N: 0.0000 0.5000 0.9222
N: 0.5000 0.0000 0.9257
N: 0.5000 0.5000 0.4257

Top 6 peaks for 5° ≤ 2θ ≤ 70°, by angle:
2θ 25.24, I = 44; 2θ 28.77, I = 100; 2θ 32.15, I = 68; 2θ 32.96, I = 51; 2θ 36.56, I = 39; 2θ 54.40, I = 34

***

For Ce2PbN, a cell relaxed with PBE gives the theoretical X-ray powder pattern in this record (CuKα).

Lattice parameters (Å, degrees): 4.6859 4.6859 9.1336 90.00 90.00 90.00
Positions (direct):
Ce: 0.2500 0.2500 0.1706
Ce: 0.2500 0.7500 0.5000
Ce: 0.7500 0.2500 0.5000
Ce: 0.7500 0.7500 0.8294
Pb: 0.2500 0.2500 0.7990
Pb: 0.7500 0.7500 0.2010
N: 0.2500 0.2500 0.4102
N: 0.7500 0.7500 0.5898

Top 6 peaks for 5° ≤ 2θ ≤ 70°, by angle:
2θ 26.91, I = 29; 2θ 28.66, I = 69; 2θ 29.34, I = 48; 2θ 33.41, I = 100; 2θ 38.42, I = 60; 2θ 49.06, I = 47

***

For Ce5Pb2N2, a cell relaxed with PBE gives the theoretical X-ray powder pattern in this record (CuKα).

Lattice parameters (Å, degrees): 4.8480 4.8480 9.9285 90.00 90.00 90.00
Positions (direct):
Ce: 0.0000 0.0000 0.0000
Ce: 0.0000 0.5000 0.2748
Ce: 0.0000 0.5000 0.7252
Ce: 0.5000 0.0000 0.2748
Ce: 0.5000 0.0000 0.7252
Pb: 0.5000 0.5000 0.0000
Pb: 0.5000 0.5000 0.5000
N: 0.0000 0.0000 0.2354
N: 0.0000 0.0000 0.7646

Top 6 peaks for 5° ≤ 2θ ≤ 70°, by angle:
2θ 25.68, I = 14; 2θ 31.72, I = 100; 2θ 36.19, I = 17; 2θ 37.09, I = 38; 2θ 52.79, I = 23; 2θ 63.51, I = 29

***

For Ce2SmPbN, a cell relaxed with PBE gives the theoretical X-ray powder pattern in this record (CuKα).

Lattice parameters (Å, degrees): 4.8981 4.8981 5.0465 90.00 90.00 90.00
Positions (direct):
Ce: 0.0000 0.5000 0.0000
Ce: 0.5000 0.0000 0.0000
Sm: 0.0000 0.0000 0.5000
Pb: 0.5000 0.5000 0.5000
N: 0.0000 0.0000 0.0000

Top 6 peaks for 5° ≤ 2θ ≤ 70°, by angle:
2θ 31.32, I = 100; 2θ 35.58, I = 19; 2θ 36.70, I = 36; 2θ 52.04, I = 26; 2θ 61.26, I = 15; 2θ 62.75, I = 28

***

For CeSnPdN, a cell relaxed with PBE gives the theoretical X-ray powder pattern in this record (CuKα).

Lattice parameters (Å, degrees): 3.5463 3.5463 11.5471 90.00 90.00 90.00
Positions (direct):
Ce: 0.0000 0.0000 0.0000
Ce: 0.5000 0.5000 0.5000
Sn: 0.0000 0.0000 0.2899
Sn: 0.5000 0.5000 0.7899
Pd: 0.0000 0.0000 0.6927
Pd: 0.5000 0.5000 0.1927
N: 0.0000 0.0000 0.4888
N: 0.5000 0.5000 0.9888

Top 6 peaks for 5° ≤ 2θ ≤ 70°, by angle:
2θ 34.39, I = 100; 2θ 35.81, I = 70; 2θ 48.06, I = 22; 2θ 51.54, I = 24; 2θ 62.05, I = 20; 2θ 63.44, I = 35

***

For SrCe2PdN4, a cell relaxed with PBE gives the theoretical X-ray powder pattern in this record (CuKα).

Lattice parameters (Å, degrees): 6.2380 6.2380 12.1639 90.00 90.00 146.71
Positions (direct):
Sr: 0.1059 0.8941 0.7500
Sr: 0.8941 0.1059 0.2500
Ce: 0.3691 0.6309 0.5515
Ce: 0.3691 0.6309 0.9485
Ce: 0.6309 0.3691 0.0515
Ce: 0.6309 0.3691 0.4485
Pd: 0.1596 0.8404 0.2500
Pd: 0.8404 0.1596 0.7500
N: 0.0000 0.0000 0.0000
N: 0.0000 0.0000 0.5000
N: 0.2583 0.7417 0.1016
N: 0.2583 0.7417 0.3984
N: 0.4348 0.5652 0.7500
N: 0.5652 0.4348 0.2500
N: 0.7417 0.2583 0.6016
N: 0.7417 0.2583 0.8984

Top 6 peaks for 5° ≤ 2θ ≤ 70°, by angle:
2θ 16.53, I = 26; 2θ 26.57, I = 28; 2θ 29.93, I = 100; 2θ 34.28, I = 21; 2θ 36.88, I = 64; 2θ 51.11, I = 24

***

For Ce2TcPdN5, a cell relaxed with PBE gives the theoretical X-ray powder pattern in this record (CuKα).

Lattice parameters (Å, degrees): 6.7030 6.7030 10.2285 90.00 90.00 150.68
Positions (direct):
Ce: 0.1023 0.8977 0.5000
Ce: 0.1524 0.8476 0.1263
Ce: 0.8476 0.1524 0.6263
Ce: 0.8977 0.1023 0.0000
Tc: 0.2032 0.7968 0.8458
Tc: 0.7968 0.2032 0.3458
Pd: 0.4729 0.5271 0.2616
Pd: 0.5271 0.4729 0.7616
N: 0.0661 0.9339 0.8887
N: 0.2758 0.7242 0.4632
N: 0.3192 0.6808 0.1921
N: 0.3659 0.6341 0.8124
N: 0.4836 0.5164 0.5717
N: 0.5164 0.4836 0.0717
N: 0.6341 0.3659 0.3124
N: 0.6808 0.3192 0.6921
N: 0.7242 0.2758 0.9632
N: 0.9339 0.0661 0.3887

Top 6 peaks for 5° ≤ 2θ ≤ 70°, by angle:
2θ 29.60, I = 89; 2θ 32.41, I = 77; 2θ 32.70, I = 44; 2θ 33.58, I = 85; 2θ 38.05, I = 100; 2θ 57.41, I = 45

***

For Ce5Pm3N8, a cell relaxed with PBE gives the theoretical X-ray powder pattern in this record (CuKα).

Lattice parameters (Å, degrees): 7.1666 7.1666 7.1666 60.01 60.01 60.01
Positions (direct):
Ce: 0.0000 0.0000 0.0000
Ce: 0.0000 0.5000 0.5000
Ce: 0.5000 0.0000 0.5000
Ce: 0.5000 0.5000 0.0000
Ce: 0.5000 0.5000 0.5000
Pm: 0.0000 0.0000 0.5000
Pm: 0.0000 0.5000 0.0000
Pm: 0.5000 0.0000 0.0000
N: 0.2500 0.2500 0.7426
N: 0.2500 0.7426 0.2500
N: 0.2545 0.2545 0.2545
N: 0.2574 0.7500 0.7500
N: 0.7426 0.2500 0.2500
N: 0.7455 0.7455 0.7455
N: 0.7500 0.2574 0.7500
N: 0.7500 0.7500 0.2574

Top 5 peaks for 5° ≤ 2θ ≤ 70°, by angle:
2θ 30.55, I = 100; 2θ 35.43, I = 75; 2θ 50.97, I = 52; 2θ 60.60, I = 45; 2θ 63.60, I = 17

***

For CePmReN4, a cell relaxed with PBE gives the theoretical X-ray powder pattern in this record (CuKα).

Lattice parameters (Å, degrees): 6.8446 6.8446 5.4981 90.00 90.00 132.94
Positions (direct):
Ce: 0.1014 0.8986 0.7500
Ce: 0.8986 0.1014 0.2500
Pm: 0.3970 0.6030 0.7500
Pm: 0.6030 0.3970 0.2500
Re: 0.2556 0.7444 0.2500
Re: 0.7444 0.2556 0.7500
N: 0.0000 0.5000 0.0000
N: 0.0000 0.5000 0.5000
N: 0.0732 0.9268 0.2500
N: 0.4192 0.5808 0.2500
N: 0.5000 0.0000 0.0000
N: 0.5000 0.0000 0.5000
N: 0.5808 0.4192 0.7500
N: 0.9268 0.0732 0.7500

Top 6 peaks for 5° ≤ 2θ ≤ 70°, by angle:
2θ 31.46, I = 100; 2θ 32.57, I = 28; 2θ 32.78, I = 28; 2θ 46.88, I = 25; 2θ 57.43, I = 19; 2θ 57.69, I = 19

***

For Ce2PmSbN2, a cell relaxed with PBE gives the theoretical X-ray powder pattern in this record (CuKα).

Lattice parameters (Å, degrees): 4.5520 4.5520 6.6125 90.00 90.00 90.00
Positions (direct):
Ce: 0.0000 0.0000 0.2278
Ce: 0.0000 0.0000 0.7722
Pm: 0.5000 0.5000 0.0000
Sb: 0.5000 0.5000 0.5000
N: 0.0000 0.5000 0.0000
N: 0.5000 0.0000 0.0000

Top 6 peaks for 5° ≤ 2θ ≤ 70°, by angle:
2θ 27.72, I = 77; 2θ 33.50, I = 100; 2θ 39.60, I = 36; 2θ 52.81, I = 55; 2θ 63.24, I = 13; 2θ 64.76, I = 14

***

Q: Which formula does entry 2 have?
A: CeU3Pa2N6